Entry 1:
For Li2NdIn4, a GGA-PBE-relaxed structure gives the simulated powder diffractogram in this record (Cu Kα (λ = 1.5418 Å)).
No peak broadening, texture or thermal motion is included.

Top 6 peaks for 2θ = 10–80°, by angle:
2θ/deg, I/Imax
16.8, 40
21.2, 61
30.2, 100
30.8, 44
43.2, 37
43.7, 67

```
data_Li2NdIn4
_cell_length_a 7.1529
_cell_length_b 7.1529
_cell_length_c 7.1529
_cell_angle_alpha 131.07
_cell_angle_beta 131.07
_cell_angle_gamma 71.70
_space_group_name_H-M_alt 'P 1'
_space_group_IT_number 1
loop_
_space_group_symop_operation_xyz
'x,y,z'
loop_
_atom_site_label
_atom_site_fract_x
_atom_site_fract_y
_atom_site_fract_z
_atom_site_occupancy
Li1 0.1328 0.1328 0.0000 1
Li2 0.8672 0.8672 0.0000 1
Nd1 0.5000 0.5000 0.0000 1
In1 0.0000 0.5000 0.5000 1
In2 0.2500 0.7500 0.5000 1
In3 0.5000 0.0000 0.5000 1
In4 0.7500 0.2500 0.5000 1
```

=====

Entry 2:
For Mg2FeB10, a GGA-PBE-relaxed structure gives the simulated powder diffractogram in this record (Cu Kα (λ = 1.5418 Å)).
No peak broadening, texture or thermal motion is included.

Top 6 peaks for 2θ = 10–80°, by angle:
2θ/deg, I/Imax
15.9, 53
17.8, 87
28.0, 35
31.3, 38
39.0, 100
46.2, 31

```
data_Mg2FeB10
_cell_length_a 5.5558
_cell_length_b 11.1367
_cell_length_c 4.1543
_cell_angle_alpha 90.00
_cell_angle_beta 90.00
_cell_angle_gamma 90.00
_space_group_name_H-M_alt 'P 1'
_space_group_IT_number 1
loop_
_space_group_symop_operation_xyz
'x,y,z'
loop_
_atom_site_label
_atom_site_fract_x
_atom_site_fract_y
_atom_site_fract_z
_atom_site_occupancy
Mg1 0.2456 0.1144 0.0000 1
Mg2 0.2544 0.6144 0.0000 1
Mg3 0.7456 0.3856 0.0000 1
Mg4 0.7544 0.8856 0.0000 1
Fe1 0.0000 0.0000 0.5000 1
Fe2 0.5000 0.5000 0.5000 1
B1 0.0213 0.8150 0.5000 1
B2 0.1251 0.4579 0.5000 1
B3 0.1669 0.3005 0.5000 1
B4 0.2012 0.8851 0.1998 1
B5 0.2012 0.8851 0.8002 1
B6 0.2988 0.3851 0.1998 1
B7 0.2988 0.3851 0.8002 1
B8 0.3331 0.8005 0.5000 1
B9 0.3749 0.9579 0.5000 1
B10 0.4787 0.3150 0.5000 1
B11 0.5213 0.6850 0.5000 1
B12 0.6251 0.0421 0.5000 1
B13 0.6669 0.1995 0.5000 1
B14 0.7012 0.6149 0.1998 1
B15 0.7012 0.6149 0.8002 1
B16 0.7988 0.1149 0.1998 1
B17 0.7988 0.1149 0.8002 1
B18 0.8331 0.6995 0.5000 1
B19 0.8749 0.5421 0.5000 1
B20 0.9787 0.1850 0.5000 1
```